Record 1
Structure and calculated PXRD pattern of Pm8SmEr3 (DFT lattice parameters and positions (GGA-PBE); Cu Kα (weighted mean of Kα1 and Kα2)).

Main lines, sorted by position (10 to 90 degrees two-theta):
2theta  I_rel
30.3  100
30.3  100
35.1  68
50.6  60
60.0  36
60.1  36

Structure:
abc: 6.2538 7.2394 9.5412
angles: 79.05 77.30 73.15
Space group P-1 (No. 2)
One atom of each set of equivalent atoms:
Pm 0.9998 0.1675 0.3316 (multiplicity 2)
Pm 0.0011 0.6664 0.3320 (multiplicity 2)
Pm 0.4975 0.1671 0.8341 (multiplicity 2)
Pm 0.4977 0.6667 0.8341 (multiplicity 2)
Sm 0.5000 0.0000 0.5000 (multiplicity 1)
Er 0.0000 0.0000 0.0000 (multiplicity 1)
Er 0.0000 0.5000 0.0000 (multiplicity 1)
Er 0.5000 0.5000 0.5000 (multiplicity 1)



Record 2
Structure and calculated PXRD pattern of Pm5Sm2Er3 (DFT lattice parameters and positions (GGA-PBE); Cu Kα (weighted mean of Kα1 and Kα2)).

Main lines, sorted by position (10 to 90 degrees two-theta):
2theta  I_rel
29.8  50
29.9  51
30.5  100
32.0  25
33.0  49
48.9  27

Structure:
abc: 10.8464 15.4037 9.7419
angles: 90.00 123.51 90.00
Space group C2/c (No. 15)
One atom of each set of equivalent atoms:
Pm 0.0000 0.0315 0.2500 (multiplicity 4)
Pm 0.0000 0.2313 0.2500 (multiplicity 4)
Pm 0.0000 0.2693 0.7500 (multiplicity 4)
Pm 0.2348 0.1167 0.7240 (multiplicity 8)
Sm 0.1449 0.3783 0.5524 (multiplicity 8)
Er 0.0000 0.4759 0.7500 (multiplicity 4)
Er 0.1579 0.1203 0.0486 (multiplicity 8)



Record 3
Structure and calculated PXRD pattern of Pm8Sm6Er (DFT lattice parameters and positions (GGA-PBE); Cu Kα (weighted mean of Kα1 and Kα2)).

Main lines, sorted by position (10 to 90 degrees two-theta):
2theta  I_rel
25.5  29
28.8  28
31.8  100
32.7  27
32.9  62
50.3  21

Structure:
abc: 9.4847 9.4847 6.6513
angles: 90.00 90.00 120.00
Space group P-3 (No. 147)
One atom of each set of equivalent atoms:
Pm 0.0302 0.7484 0.1643 (multiplicity 6)
Pm 0.3333 0.6667 0.1135 (multiplicity 2)
Sm 0.0866 0.6539 0.6591 (multiplicity 6)
Er 0.0000 0.0000 0.5000 (multiplicity 1)



Record 4
Structure and calculated PXRD pattern of Pm5Sm2Er4 (DFT lattice parameters and positions (GGA-PBE); Cu Kα (weighted mean of Kα1 and Kα2)).

Main lines, sorted by position (10 to 90 degrees two-theta):
2theta  I_rel
28.2  37
30.1  53
31.6  65
32.3  100
35.7  37
37.0  48

Structure:
abc: 3.5239 9.1202 23.4698
angles: 90.00 90.00 90.00
Space group Immm (No. 71)
One atom of each set of equivalent atoms:
Pm 0.0000 0.0000 0.0000 (multiplicity 2)
Pm 0.0000 0.3008 0.3559 (multiplicity 8)
Sm 0.0000 0.5000 0.2314 (multiplicity 4)
Er 0.0000 0.1859 0.5000 (multiplicity 4)
Er 0.0000 0.5000 0.0964 (multiplicity 4)



Record 5
Structure and calculated PXRD pattern of PmSm10Er4 (DFT lattice parameters and positions (GGA-PBE); Cu Kα (weighted mean of Kα1 and Kα2)).

Main lines, sorted by position (10 to 90 degrees two-theta):
2theta  I_rel
26.8  75
28.6  83
28.9  100
32.6  94
33.5  79
34.1  51

Structure:
abc: 9.7813 9.7813 10.6116
angles: 90.00 90.00 90.00
Space group I4/m (No. 87)
One atom of each set of equivalent atoms:
Pm 0.0000 0.0000 0.0000 (multiplicity 2)
Sm 0.0000 0.5000 0.2500 (multiplicity 4)
Sm 0.1143 0.7861 0.3428 (multiplicity 16)
Er 0.0643 0.6646 0.0000 (multiplicity 8)



Record 6
Structure and calculated PXRD pattern of Pm5Sm2Er5 (DFT lattice parameters and positions (GGA-PBE); Cu Kα (weighted mean of Kα1 and Kα2)).

Main lines, sorted by position (10 to 90 degrees two-theta):
2theta  I_rel
30.5  100
35.4  34
35.5  17
50.9  36
60.5  29
60.6  14

Structure:
abc: 15.2128 5.0628 11.3545
angles: 90.00 116.56 90.00
Space group C2/m (No. 12)
One atom of each set of equivalent atoms:
Pm 0.0000 0.0000 0.0000 (multiplicity 2)
Pm 0.0851 0.0000 0.7510 (multiplicity 4)
Pm 0.1658 0.0000 0.4990 (multiplicity 4)
Sm 0.0830 0.5000 0.2483 (multiplicity 4)
Er 0.0000 0.5000 0.5000 (multiplicity 2)
Er 0.1686 0.5000 0.0011 (multiplicity 4)
Er 0.2498 0.0000 0.2484 (multiplicity 4)



Record 7
Structure and calculated PXRD pattern of Pm2Sm3Er (DFT lattice parameters and positions (GGA-PBE); Cu Kα (weighted mean of Kα1 and Kα2)).

Main lines, sorted by position (10 to 90 degrees two-theta):
2theta  I_rel
29.4  44
30.6  35
32.3  100
36.7  24
50.3  26
60.0  31

Structure:
abc: 10.8892 6.2815 11.7047
angles: 90.00 90.00 90.00
Space group Cmcm (No. 63)
One atom of each set of equivalent atoms:
Pm 0.1671 0.1660 0.2500 (multiplicity 8)
Sm 0.0000 0.0000 0.0000 (multiplicity 4)
Sm 0.1652 0.5000 0.0000 (multiplicity 8)
Er 0.0000 0.3334 0.7500 (multiplicity 4)



Record 8
Structure and calculated PXRD pattern of Pm3SmEr4 (DFT lattice parameters and positions (GGA-PBE); Cu Kα (weighted mean of Kα1 and Kα2)).

Main lines, sorted by position (10 to 90 degrees two-theta):
2theta  I_rel
30.6  100
30.9  33
35.6  67
51.0  24
51.4  24
60.8  29

Structure:
abc: 6.2007 3.5832 11.7687
angles: 90.00 100.15 90.00
Space group P2/m (No. 10)
One atom of each set of equivalent atoms:
Pm 0.0000 0.0000 0.0000 (multiplicity 1)
Pm 0.0000 0.5000 0.5000 (multiplicity 1)
Pm 0.5000 0.0000 0.5000 (multiplicity 1)
Sm 0.5000 0.5000 0.0000 (multiplicity 1)
Er 0.2500 0.0000 0.7503 (multiplicity 2)
Er 0.2502 0.5000 0.2497 (multiplicity 2)



Record 9
Structure and calculated PXRD pattern of Pm5Sm3Er3 (DFT lattice parameters and positions (GGA-PBE); Cu Kα (weighted mean of Kα1 and Kα2)).

Main lines, sorted by position (10 to 90 degrees two-theta):
2theta  I_rel
27.3  99
30.3  88
31.7  58
33.0  100
35.6  74
41.3  83

Structure:
abc: 11.2987 11.2987 3.4561
angles: 90.00 90.00 120.00
Space group P-62m (No. 189)
One atom of each set of equivalent atoms:
Pm 0.0000 0.6625 0.0000 (multiplicity 3)
Pm 0.3333 0.6667 0.0000 (multiplicity 2)
Sm 0.0000 0.4037 0.5000 (multiplicity 3)
Er 0.0000 0.1592 0.0000 (multiplicity 3)



Record 10
Structure and calculated PXRD pattern of Pm14SmEr (DFT lattice parameters and positions (GGA-PBE); Cu Kα (weighted mean of Kα1 and Kα2)).

Main lines, sorted by position (10 to 90 degrees two-theta):
2theta  I_rel
30.1  100
34.9  51
50.1  36
59.6  43
62.5  12
81.5  18

Structure:
abc: 7.2824 7.2824 10.2795
angles: 90.00 90.00 90.00
Space group P4/mmm (No. 123)
One atom of each set of equivalent atoms:
Pm 0.0000 0.0000 0.0000 (multiplicity 1)
Pm 0.0000 0.5000 0.0000 (multiplicity 2)
Pm 0.0000 0.5000 0.5000 (multiplicity 2)
Pm 0.2492 0.2492 0.2514 (multiplicity 8)
Pm 0.5000 0.5000 0.0000 (multiplicity 1)
Sm 0.5000 0.5000 0.5000 (multiplicity 1)
Er 0.0000 0.0000 0.5000 (multiplicity 1)



Record 11
Structure and calculated PXRD pattern of Pm2Sm5Er2 (DFT lattice parameters and positions (GGA-PBE); Cu Kα (weighted mean of Kα1 and Kα2)).

Main lines, sorted by position (10 to 90 degrees two-theta):
2theta  I_rel
30.4  100
35.2  34
35.3  17
50.6  24
60.2  25
60.3  14

Structure:
abc: 3.5987 6.2415 13.9653
angles: 85.78 82.60 73.38
Space group P-1 (No. 2)
One atom of each set of equivalent atoms:
Pm 0.1680 0.3317 0.3319 (multiplicity 2)
Sm 0.2792 0.5528 0.8890 (multiplicity 2)
Sm 0.3885 0.7779 0.4433 (multiplicity 2)
Sm 0.5000 0.0000 0.0000 (multiplicity 1)
Er 0.0558 0.1114 0.7784 (multiplicity 2)



Record 12
Structure and calculated PXRD pattern of Pm2SmEr12 (DFT lattice parameters and positions (GGA-PBE); Cu Kα (weighted mean of Kα1 and Kα2)).

Main lines, sorted by position (10 to 90 degrees two-theta):
2theta  I_rel
30.8  27
31.7  32
32.0  100
32.3  54
33.0  44
62.8  22

Structure:
abc: 6.5478 6.5502 24.4913
angles: 84.49 84.48 64.33
Space group P-1 (No. 2)
One atom of each set of equivalent atoms:
Pm 0.0683 0.0658 0.2295 (multiplicity 2)
Pm 0.4315 0.4341 0.7704 (multiplicity 2)
Sm 0.2355 0.7358 0.5001 (multiplicity 2)
Er 0.0516 0.5496 0.2987 (multiplicity 2)
Er 0.0849 0.5818 0.1652 (multiplicity 2)
Er 0.1354 0.1356 0.9584 (multiplicity 2)
Er 0.1469 0.6463 0.9132 (multiplicity 2)
Er 0.2163 0.7185 0.6357 (multiplicity 2)
Er 0.2322 0.2304 0.5751 (multiplicity 2)
Er 0.2710 0.2664 0.4249 (multiplicity 2)
Er 0.2864 0.7844 0.3646 (multiplicity 2)
Er 0.3527 0.8532 0.0868 (multiplicity 2)
Er 0.3651 0.3642 0.0416 (multiplicity 2)
Er 0.4151 0.9182 0.8353 (multiplicity 2)
Er 0.4487 0.9503 0.7024 (multiplicity 2)